Entry 1:
The following is a calculated X-ray diffraction stick pattern of CoPbSO. It was derived from a DFT-relaxed cell (PBE+U, OQMD), using Cu Kα (weighted mean of Kα1 and Kα2).

Atomic structure:
abc: 6.507 6.691 6.847
angles: 90.00 90.00 90.00
Space group P2_12_12_1 (No. 19)
Inequivalent atoms, fractional coordinates:
Co1 0.087 0.087 0.099
Pb1 0.126 0.635 0.853
S1 0.111 0.893 0.396
O1 0.080 0.413 0.552

Principal peaks in the range 10° ≤ 2θ ≤ 80°, sorted by position:
d 4.716, 18.81°, intensity 38
d 3.855, 23.07°, intensity 79
d 3.048, 29.31°, intensity 59
d 3.030, 29.48°, intensity 42
d 3.006, 29.72°, intensity 55
d 2.975, 30.04°, intensity 59
d 2.938, 30.42°, intensity 41
d 2.926, 30.55°, intensity 46
d 2.760, 32.44°, intensity 100
d 2.729, 32.82°, intensity 78
d 2.690, 33.30°, intensity 95
d 1.868, 48.74°, intensity 45

---

Entry 2:
The following is a calculated X-ray diffraction stick pattern of CoPbSeO. It was derived from a DFT-relaxed cell (PBE+U, OQMD), using Cu Kα (weighted mean of Kα1 and Kα2).

Atomic structure:
abc: 3.480 15.902 5.993
angles: 90.00 90.00 90.00
Space group Cmc2_1 (No. 36)
Inequivalent atoms, fractional coordinates:
Co1 0.000 0.177 0.000
Pb1 0.000 0.431 0.083
Se1 0.000 0.194 0.418
O1 0.000 0.382 0.431

Principal peaks in the range 10° ≤ 2θ ≤ 80°, sorted by position:
d 4.786, 18.54°, intensity 82
d 3.399, 26.21°, intensity 47
d 3.313, 26.91°, intensity 100
d 2.996, 29.82°, intensity 47
d 2.957, 30.23°, intensity 32
d 2.909, 30.73°, intensity 48
d 2.804, 31.92°, intensity 38
d 2.617, 34.26°, intensity 92
d 2.348, 38.34°, intensity 54
d 2.248, 40.11°, intensity 52
d 1.987, 45.66°, intensity 42
d 1.785, 51.18°, intensity 31

---

Entry 3:
The following is a calculated X-ray diffraction stick pattern of CoPbSeO. It was derived from a DFT-relaxed cell (PBE+U, OQMD), using Cu Kα (weighted mean of Kα1 and Kα2).

Atomic structure:
abc: 6.560 6.914 7.121
angles: 90.00 90.00 90.00
Space group P2_12_12_1 (No. 19)
Inequivalent atoms, fractional coordinates:
Co1 0.075 0.075 0.094
Pb1 0.123 0.642 0.851
Se1 0.111 0.893 0.397
O1 0.086 0.400 0.544

Principal peaks in the range 10° ≤ 2θ ≤ 80°, sorted by position:
d 3.957, 22.47°, intensity 51
d 3.129, 28.52°, intensity 48
d 3.110, 28.71°, intensity 60
d 3.058, 29.20°, intensity 25
d 2.963, 30.16°, intensity 54
d 2.851, 31.38°, intensity 100
d 2.810, 31.85°, intensity 75
d 2.736, 32.73°, intensity 81
d 1.875, 48.55°, intensity 24
d 1.854, 49.13°, intensity 48
d 1.823, 50.04°, intensity 25
d 1.789, 51.06°, intensity 31

---

Entry 4:
The following is a calculated X-ray diffraction stick pattern of CoPbSeO. It was derived from a DFT-relaxed cell (PBE+U, OQMD), using Cu Kα (weighted mean of Kα1 and Kα2).

Atomic structure:
abc: 6.052 3.969 13.863
angles: 90.00 90.00 90.00
Space group Pnma (No. 62)
Inequivalent atoms, fractional coordinates:
Co1 0.121 0.250 0.202
Pb1 0.247 0.750 0.418
Se1 0.248 0.750 0.109
O1 0.204 0.750 0.819

Principal peaks in the range 10° ≤ 2θ ≤ 80°, sorted by position:
d 4.559, 19.47°, intensity 14
d 3.466, 25.70°, intensity 12
d 3.228, 27.64°, intensity 26
d 3.026, 29.52°, intensity 34
d 3.010, 29.68°, intensity 100
d 2.371, 37.95°, intensity 16
d 2.134, 42.35°, intensity 45
d 1.985, 45.72°, intensity 15
d 1.836, 49.64°, intensity 11
d 1.701, 53.91°, intensity 15
d 1.660, 55.36°, intensity 12
d 1.352, 69.55°, intensity 12

---

Entry 5:
The following is a calculated X-ray diffraction stick pattern of CoTePbO. It was derived from a DFT-relaxed cell (PBE+U, OQMD), using Cu Kα (weighted mean of Kα1 and Kα2).

Atomic structure:
abc: 4.1486 4.1486 12.3920
angles: 90.00 90.00 120.00
Space group P6_3mc (No. 186)
Inequivalent atoms, fractional coordinates:
Co1 0.0000 0.0000 0.0000
Te1 0.3333 0.6667 0.0869
Pb1 0.3333 0.6667 0.7888
O1 0.0000 0.0000 0.3482

Principal peaks in the range 10° ≤ 2θ ≤ 80°, sorted by position:
d 3.451, 25.82°, intensity 81
d 3.103, 28.77°, intensity 58
d 2.711, 33.04°, intensity 100
d 2.346, 38.37°, intensity 15
d 2.074, 43.64°, intensity 53
d 1.791, 51.00°, intensity 14
d 1.778, 51.40°, intensity 13
d 1.724, 53.13°, intensity 37
d 1.647, 55.81°, intensity 23
d 1.588, 58.09°, intensity 21
d 1.464, 63.57°, intensity 11
d 1.290, 73.40°, intensity 21

---

Entry 6:
The following is a calculated X-ray diffraction stick pattern of Pm2Co2O5. It was derived from a DFT-relaxed cell (PBE+U, OQMD), using Cu Kα (weighted mean of Kα1 and Kα2).

Atomic structure:
abc: 3.873 3.873 7.127
angles: 90.00 90.00 90.00
Space group P4/mmm (No. 123)
Inequivalent atoms, fractional coordinates:
Pm1 0.000 0.000 0.000
Pm2 0.000 0.000 0.500
Co1 0.500 0.500 0.221
O1 0.000 0.500 0.217
O2 0.500 0.500 0.500

Principal peaks in the range 10° ≤ 2θ ≤ 80°, sorted by position:
d 3.873, 22.96°, intensity 20
d 2.739, 32.70°, intensity 49
d 2.622, 34.19°, intensity 100
d 2.171, 41.59°, intensity 24
d 1.936, 46.92°, intensity 32
d 1.782, 51.27°, intensity 10
d 1.558, 59.32°, intensity 40
d 1.493, 62.15°, intensity 15
d 1.369, 68.53°, intensity 9
d 1.311, 72.02°, intensity 13
d 1.225, 78.02°, intensity 8
d 1.214, 78.86°, intensity 9

---

Entry 7:
The following is a calculated X-ray diffraction stick pattern of Pm4Co4O11. It was derived from a DFT-relaxed cell (PBE+U, OQMD), using Cu Kα (weighted mean of Kα1 and Kα2).

Atomic structure:
abc: 5.327 7.616 5.628
angles: 90.00 90.05 90.00
Space group Pm (No. 6)
Inequivalent atoms, fractional coordinates:
Pm1 0.000 0.000 0.000
Pm2 0.038 0.500 0.115
Pm3 0.497 0.500 0.633
Pm4 0.543 0.000 0.493
Co1 0.024 0.241 0.557
Co2 0.514 0.252 0.061
O1 0.131 0.000 0.600
O2 0.204 0.312 0.835
O3 0.297 0.310 0.364
O4 0.423 0.000 0.087
O5 0.614 0.500 0.039
O6 0.728 0.212 0.748
O7 0.830 0.212 0.274

Principal peaks in the range 10° ≤ 2θ ≤ 80°, sorted by position:
d 3.869, 22.99°, intensity 15
d 3.450, 25.83°, intensity 17
d 2.814, 31.80°, intensity 18
d 2.714, 33.01°, intensity 100
d 2.664, 33.65°, intensity 23
d 2.640, 33.96°, intensity 12
d 1.934, 46.97°, intensity 18
d 1.904, 47.77°, intensity 14
d 1.875, 48.56°, intensity 11
d 1.724, 53.14°, intensity 16
d 1.548, 59.74°, intensity 30
d 1.357, 69.24°, intensity 9

---

Entry 8:
The following is a calculated X-ray diffraction stick pattern of RbCoO2. It was derived from a DFT-relaxed cell (PBE+U, OQMD), using Cu Kα (weighted mean of Kα1 and Kα2).

Atomic structure:
abc: 6.694 7.536 5.978
angles: 90.00 90.00 90.00
Space group Pbcm (No. 57)
Inequivalent atoms, fractional coordinates:
Rb1 0.242 0.098 0.250
Co1 0.246 0.646 0.250
O1 0.144 0.750 0.000
O2 0.366 0.053 0.750

Principal peaks in the range 10° ≤ 2θ ≤ 80°, sorted by position:
d 3.347, 26.63°, intensity 79
d 3.187, 27.99°, intensity 100
d 2.989, 29.89°, intensity 54
d 2.352, 38.27°, intensity 17
d 2.308, 39.02°, intensity 92
d 2.229, 40.46°, intensity 46
d 1.761, 51.91°, intensity 17
d 1.594, 57.86°, intensity 12
d 1.559, 59.28°, intensity 26
d 1.482, 62.70°, intensity 24
d 1.439, 64.79°, intensity 15
d 1.213, 78.90°, intensity 12

---

Entry 9:
The following is a calculated X-ray diffraction stick pattern of Rb5Co2O4. It was derived from a DFT-relaxed cell (PBE+U, OQMD), using Cu Kα (weighted mean of Kα1 and Kα2).

Atomic structure:
abc: 6.962 9.204 9.538
angles: 61.73 89.92 71.61
Space group P-1 (No. 2)
Inequivalent atoms, fractional coordinates:
Rb1 0.097 0.165 0.223
Rb2 0.102 0.563 0.222
Rb3 0.265 0.953 0.974
Rb4 0.378 0.833 0.616
Rb5 0.380 0.358 0.633
Co1 0.014 0.210 0.576
Co2 0.388 0.418 0.971
O1 0.193 0.796 0.314
O2 0.232 0.207 0.479
O3 0.308 0.260 0.955
O4 0.317 0.642 0.951

Principal peaks in the range 10° ≤ 2θ ≤ 80°, sorted by position:
d 3.238, 27.54°, intensity 37
d 3.226, 27.65°, intensity 21
d 3.100, 28.80°, intensity 98
d 3.067, 29.11°, intensity 95
d 2.972, 30.07°, intensity 25
d 2.932, 30.48°, intensity 92
d 2.885, 31.00°, intensity 100
d 2.858, 31.30°, intensity 91
d 2.809, 31.85°, intensity 29
d 2.716, 32.98°, intensity 89
d 2.301, 39.16°, intensity 48
d 2.077, 43.58°, intensity 26

---

Entry 10:
The following is a calculated X-ray diffraction stick pattern of CoSO4. It was derived from a DFT-relaxed cell (PBE+U, OQMD), using Cu Kα (weighted mean of Kα1 and Kα2).

Atomic structure:
abc: 5.883 4.677 4.634
angles: 90.00 90.00 90.00
Space group Pmn2_1 (No. 31)
Inequivalent atoms, fractional coordinates:
Co1 0.000 0.086 0.000
S1 0.000 0.668 0.432
O1 0.000 0.369 0.344
O2 0.000 0.696 0.747
O3 0.200 0.824 0.300

Principal peaks in the range 10° ≤ 2θ ≤ 80°, sorted by position:
d 4.677, 18.97°, intensity 18
d 3.640, 24.45°, intensity 13
d 3.292, 27.09°, intensity 54
d 2.942, 30.39°, intensity 51
d 2.873, 31.13°, intensity 100
d 2.193, 41.15°, intensity 27
d 2.173, 41.55°, intensity 19
d 1.968, 46.13°, intensity 13
d 1.820, 50.12°, intensity 16
d 1.696, 54.06°, intensity 15
d 1.685, 54.46°, intensity 21
d 1.585, 58.20°, intensity 16

---

Entry 11:
The following is a calculated X-ray diffraction stick pattern of Sm2CoTe2S2O14. It was derived from a DFT-relaxed cell (PBE+U, OQMD), using Cu Kα (weighted mean of Kα1 and Kα2).

Atomic structure:
abc: 5.293 7.826 8.081
angles: 63.65 72.90 85.87
Space group P-1 (No. 2)
Inequivalent atoms, fractional coordinates:
Sm1 0.077 0.251 0.016
Co1 0.000 0.000 0.500
Te1 0.492 0.737 0.646
S1 0.238 0.747 0.258
O1 0.102 0.584 0.267
O2 0.129 0.771 0.437
O3 0.191 0.919 0.088
O4 0.253 0.567 0.887
O5 0.263 0.938 0.658
O6 0.275 0.192 0.252
O7 0.475 0.278 0.769

Principal peaks in the range 10° ≤ 2θ ≤ 80°, sorted by position:
d 6.596, 13.42°, intensity 41
d 4.803, 18.47°, intensity 25
d 3.607, 24.68°, intensity 100
d 3.498, 25.46°, intensity 70
d 3.349, 26.62°, intensity 30
d 3.225, 27.66°, intensity 24
d 2.958, 30.21°, intensity 49
d 2.893, 30.91°, intensity 21
d 2.651, 33.82°, intensity 23
d 2.527, 35.53°, intensity 39
d 2.390, 37.63°, intensity 37
d 2.145, 42.13°, intensity 25

---

Entry 12:
The following is a calculated X-ray diffraction stick pattern of Sm2ZnCoS2O2. It was derived from a DFT-relaxed cell (PBE+U, OQMD), using Cu Kα (weighted mean of Kα1 and Kα2).

Atomic structure:
abc: 3.8333 3.8333 10.7679
angles: 90.00 90.00 120.00
Space group P3m1 (No. 156)
Inequivalent atoms, fractional coordinates:
Sm1 0.0000 0.0000 0.0000
Sm2 0.3333 0.6667 0.4347
Zn1 0.6667 0.3333 0.7301
Co1 0.6667 0.3333 0.2243
S1 0.0000 0.0000 0.6517
S2 0.3333 0.6667 0.1652
O1 0.6667 0.3333 0.4215
O2 0.6667 0.3333 0.9125

Principal peaks in the range 10° ≤ 2θ ≤ 80°, sorted by position:
d 3.172, 28.13°, intensity 100
d 2.826, 31.66°, intensity 79
d 2.692, 33.28°, intensity 23
d 2.437, 36.88°, intensity 63
d 2.091, 43.27°, intensity 20
d 1.917, 47.43°, intensity 56
d 1.806, 50.53°, intensity 14
d 1.640, 56.06°, intensity 15
d 1.586, 58.16°, intensity 14
d 1.579, 58.46°, intensity 23
d 1.561, 59.18°, intensity 25
d 1.247, 76.39°, intensity 21

---

Please write out number 9 again, unchanged.
The following is a calculated X-ray diffraction stick pattern of Rb5Co2O4. It was derived from a DFT-relaxed cell (PBE+U, OQMD), using Cu Kα (weighted mean of Kα1 and Kα2).

Atomic structure:
abc: 6.962 9.204 9.538
angles: 61.73 89.92 71.61
Space group P-1 (No. 2)
Inequivalent atoms, fractional coordinates:
Rb1 0.097 0.165 0.223
Rb2 0.102 0.563 0.222
Rb3 0.265 0.953 0.974
Rb4 0.378 0.833 0.616
Rb5 0.380 0.358 0.633
Co1 0.014 0.210 0.576
Co2 0.388 0.418 0.971
O1 0.193 0.796 0.314
O2 0.232 0.207 0.479
O3 0.308 0.260 0.955
O4 0.317 0.642 0.951

Principal peaks in the range 10° ≤ 2θ ≤ 80°, sorted by position:
d 3.238, 27.54°, intensity 37
d 3.226, 27.65°, intensity 21
d 3.100, 28.80°, intensity 98
d 3.067, 29.11°, intensity 95
d 2.972, 30.07°, intensity 25
d 2.932, 30.48°, intensity 92
d 2.885, 31.00°, intensity 100
d 2.858, 31.30°, intensity 91
d 2.809, 31.85°, intensity 29
d 2.716, 32.98°, intensity 89
d 2.301, 39.16°, intensity 48
d 2.077, 43.58°, intensity 26